For Li2MnCr3O8, a structure optimized by DFT (PBE+U) gives the calculated X-ray powder pattern in this record (Cu Ka).
Lines closer than 0.1° are merged.

Crystal structure
a b c (Å): 8.330 8.330 8.440
angles (deg): 90.00 90.00 90.00
Fractional coordinates of all 56 atoms:
Li 0.002 0.252 0.377
Li 0.248 0.502 0.127
Li 0.252 0.002 0.623
Li 0.498 0.752 0.373
Li 0.502 0.248 0.873
Li 0.748 0.998 0.123
Li 0.752 0.498 0.627
Li 0.998 0.748 0.877
Mn 0.121 0.879 0.250
Mn 0.379 0.379 0.500
Mn 0.621 0.621 0.000
Mn 0.879 0.121 0.750
Cr 0.125 0.125 0.000
Cr 0.128 0.372 0.749
Cr 0.128 0.628 0.499
Cr 0.372 0.128 0.251
Cr 0.372 0.872 0.001
Cr 0.375 0.625 0.750
Cr 0.625 0.375 0.250
Cr 0.628 0.128 0.501
Cr 0.628 0.872 0.751
Cr 0.872 0.372 0.999
Cr 0.872 0.628 0.249
Cr 0.875 0.875 0.500
O 0.109 0.872 0.481
O 0.112 0.131 0.764
O 0.112 0.646 0.260
O 0.116 0.354 0.988
O 0.128 0.891 0.019
O 0.131 0.112 0.236
O 0.146 0.388 0.510
O 0.146 0.616 0.738
O 0.354 0.116 0.012
O 0.354 0.888 0.240
O 0.369 0.612 0.514
O 0.372 0.391 0.731
O 0.384 0.854 0.762
O 0.388 0.146 0.490
O 0.388 0.631 0.986
O 0.391 0.372 0.269
O 0.609 0.628 0.769
O 0.612 0.369 0.486
O 0.612 0.854 0.990
O 0.616 0.146 0.262
O 0.628 0.609 0.231
O 0.631 0.388 0.014
O 0.646 0.112 0.740
O 0.646 0.884 0.512
O 0.854 0.384 0.238
O 0.854 0.612 0.010
O 0.869 0.888 0.736
O 0.872 0.109 0.519
O 0.884 0.646 0.488
O 0.888 0.354 0.760
O 0.888 0.869 0.264
O 0.891 0.128 0.981

Most intense lines, 2θ = 10–90°, in order of rising 2θ:
d = 4.830 Å, 2θ 18.37, intensity 100
d = 2.539 Å, 2θ 35.36, intensity 15
d = 2.515 Å, 2θ 35.71, intensity 31
d = 2.415 Å, 2θ 37.23, intensity 9
d = 2.110 Å, 2θ 42.86, intensity 19
d = 2.083 Å, 2θ 43.45, intensity 36
d = 1.923 Å, 2θ 47.27, intensity 6
d = 1.623 Å, 2θ 56.73, intensity 6
d = 1.604 Å, 2θ 57.46, intensity 12
d = 1.482 Å, 2θ 62.68, intensity 22
d = 1.473 Å, 2θ 63.14, intensity 11
d = 1.208 Å, 2θ 79.35, intensity 8